(1)
Computed powder XRD pattern of Er3Fe4Ge4 for a wavelength of 1.5418 Å, from a structure optimized by DFT (GGA-PBE).
Neutral-atom scattering factors, no anomalous dispersion.

Peak list (6 most intense, 2θ = 15–90°, by angle)
two_theta  Rel. int.
34.92  89.6
35.86  29.1
36.76  100.0
43.30  35.4
45.26  27.7
64.42  18.7

Cell and atoms:
Unit cell a=4.1796 b=6.7128 c=13.4965 alpha=90.00 beta=90.00 gamma=90.00
Space group Immm (No. 71)
Symmetry-distinct sites (fractional):
1 Er 0.0000 0.0000 0.0000 x2
2 Er 0.0000 0.5000 0.1288 x4
3 Fe 0.0000 0.3192 0.3255 x8
4 Ge 0.0000 0.0000 0.2208 x4
5 Ge 0.0000 0.1957 0.5000 x4

***

(2)
Computed powder XRD pattern of Er4Fe3Ge4 for a wavelength of 1.5418 Å, from a structure optimized by DFT (GGA-PBE).
Neutral-atom scattering factors, no anomalous dispersion.

Peak list (6 most intense, 2θ = 15–90°, by angle)
two_theta  Rel. int.
27.91  34.8
32.98  45.4
34.13  41.7
34.53  100.0
38.22  65.1
67.62  32.8

Cell and atoms:
Unit cell a=3.2760 b=9.2235 c=14.5657 alpha=90.00 beta=90.00 gamma=90.00
Space group Immm (No. 71)
Symmetry-distinct sites (fractional):
1 Er 0.0000 0.1809 0.1506 x8
2 Fe 0.0000 0.0000 0.4003 x4
3 Fe 0.0000 0.5000 0.5000 x2
4 Ge 0.0000 0.3612 0.0000 x4
5 Ge 0.0000 0.5000 0.2241 x4

***

(3)
Computed powder XRD pattern of Er2Fe17H3 for a wavelength of 1.5418 Å, from a structure optimized by DFT (GGA-PBE).
Neutral-atom scattering factors, no anomalous dispersion.

Peak list (6 most intense, 2θ = 15–90°, by angle)
two_theta  Rel. int.
30.27  46.4
36.52  41.9
41.13  37.0
42.42  66.9
42.88  100.0
44.23  32.3

Cell and atoms:
Unit cell a=8.5231 b=8.5231 c=8.1906 alpha=90.00 beta=90.00 gamma=120.00
Space group P6_3/mmc (No. 194)
Symmetry-distinct sites (fractional):
1 Er 0.0000 0.0000 0.2500 x2
2 Er 0.3333 0.6667 0.2500 x2
3 Fe 0.0000 0.5000 0.0000 x6
4 Fe 0.0490 0.3775 0.7500 x12
5 Fe 0.1668 0.3335 0.0180 x12
6 Fe 0.3333 0.6667 0.6041 x4
7 H 0.1648 0.3295 0.2500 x6

***

(4)
Computed powder XRD pattern of ErFe2H3 for a wavelength of 1.5418 Å, from a structure optimized by DFT (GGA-PBE).
Neutral-atom scattering factors, no anomalous dispersion.

Peak list (6 most intense, 2θ = 15–90°, by angle)
two_theta  Rel. int.
32.08  60.9
34.15  48.6
37.92  40.0
38.83  100.0
40.60  24.3
61.73  25.0

Cell and atoms:
Unit cell a=11.1613 b=11.1613 c=12.5095 alpha=90.00 beta=90.00 gamma=120.00
Space group R-3m (No. 166, hexagonal axes)
Symmetry-distinct sites (fractional):
1 Er 0.0000 0.0000 0.1376 x6
2 Er 0.0031 0.5015 0.8682 x18
3 Fe 0.0000 0.0000 0.5000 x3
4 Fe 0.0000 0.2494 0.0000 x18
5 Fe 0.0000 0.5000 0.5000 x9
6 Fe 0.0859 0.1719 0.6656 x18
7 H 0.0318 0.2681 0.6028 x36
8 H 0.0687 0.1373 0.2830 x18
9 H 0.0979 0.1957 0.0594 x18

***

(5)
Computed powder XRD pattern of Er12In3Fe2 for a wavelength of 1.5418 Å, from a structure optimized by DFT (GGA-PBE).
Neutral-atom scattering factors, no anomalous dispersion.

Peak list (6 most intense, 2θ = 15–90°, by angle)
two_theta  Rel. int.
29.74  22.1
32.44  100.0
34.83  31.2
35.38  15.7
37.98  33.1
55.44  12.2

Cell and atoms:
Unit cell a=9.4758 b=9.4758 c=9.7334 alpha=90.00 beta=90.00 gamma=90.00
Space group I4/mmm (No. 139)
Symmetry-distinct sites (fractional):
1 Er 0.0000 0.2475 0.2071 x16
2 Er 0.1944 0.1944 0.5000 x8
3 In 0.0000 0.0000 0.0000 x2
4 In 0.0000 0.5000 0.0000 x4
5 Fe 0.0000 0.0000 0.3879 x4

***

(6)
Computed powder XRD pattern of ErMnFe for a wavelength of 1.5418 Å, from a structure optimized by DFT (GGA-PBE).
Neutral-atom scattering factors, no anomalous dispersion.

Peak list (6 most intense, 2θ = 15–90°, by angle)
two_theta  Rel. int.
34.99  24.7
35.15  94.0
41.39  100.0
41.56  97.7
62.89  26.0
74.30  28.7

Cell and atoms:
Unit cell a=5.0828 b=5.1288 c=7.2229 alpha=90.00 beta=90.00 gamma=90.00
Space group Imma (No. 74)
Symmetry-distinct sites (fractional):
1 Er 0.0000 0.2500 0.1242 x4
2 Mn 0.0000 0.0000 0.5000 x4
3 Fe 0.2500 0.2500 0.7500 x4

***

(7)
Computed powder XRD pattern of ErFe10Mo2 for a wavelength of 1.5418 Å, from a structure optimized by DFT (GGA-PBE).
Neutral-atom scattering factors, no anomalous dispersion.

Peak list (6 most intense, 2θ = 15–90°, by angle)
two_theta  Rel. int.
36.85  63.8
37.97  20.2
42.43  30.1
42.69  100.0
43.69  66.7
48.87  20.1

Cell and atoms:
Unit cell a=4.7400 b=8.5207 c=8.5481 alpha=90.00 beta=90.00 gamma=90.00
Space group Immm (No. 71)
Symmetry-distinct sites (fractional):
1 Er 0.0000 0.0000 0.0000 x2
2 Fe 0.0000 0.2824 0.5000 x4
3 Fe 0.0000 0.3586 0.0000 x4
4 Fe 0.0000 0.5000 0.2781 x4
5 Fe 0.2500 0.2500 0.2500 x8
6 Mo 0.0000 0.0000 0.3571 x4

***

(8)
Computed powder XRD pattern of NdErFe17 for a wavelength of 1.5418 Å, from a structure optimized by DFT (GGA-PBE).
Neutral-atom scattering factors, no anomalous dispersion.

Peak list (6 most intense, 2θ = 15–90°, by angle)
two_theta  Rel. int.
30.11  40.1
36.52  41.2
40.85  29.3
42.43  59.6
42.77  100.0
43.77  31.1

Cell and atoms:
Unit cell a=8.5221 b=8.5221 c=8.2732 alpha=90.00 beta=90.00 gamma=120.00
Space group P6_3/mmc (No. 194)
Symmetry-distinct sites (fractional):
1 Nd 0.3333 0.6667 0.2500 x2
2 Er 0.0000 0.0000 0.2500 x2
3 Fe 0.0000 0.5000 0.0000 x6
4 Fe 0.0417 0.3694 0.7500 x12
5 Fe 0.1648 0.3295 0.0148 x12
6 Fe 0.3333 0.6667 0.6073 x4